No. 1
# Cd5In8Bi
Calculated powder X-ray diffraction pattern, Cu Ka. Input: a cell relaxed with PBE.
Lines closer than 0.1° are merged.

Atomic structure:
a = 9.4252 Å, b = 9.4252 Å, c = 8.6399 Å
α = 90.00°, β = 90.00°, γ = 90.00°
Space group I-4 (No. 82)
Unique sites:
Cd 0.0000 0.0000 0.0000
Cd 0.1268 0.1600 0.4045
In 0.0548 0.3354 0.0935
In 0.1295 0.1855 0.7548
Bi 0.0000 0.5000 0.7500

Top 10 peaks for 5° ≤ 2θ ≤ 70°, low angle first:
d/Å, two_theta, I_rel, index
3.788, 23.48, 31, 2 1 1
2.980, 29.98, 67, 3 1 0
2.953, 30.27, 100, 3 0 1
2.754, 32.51, 60, 1 0 3
2.639, 33.98, 55, 2 2 2
2.502, 35.89, 53, 3 2 1
2.453, 36.63, 75, 3 1 2
2.378, 37.83, 100, 2 1 3
2.210, 40.83, 31, 1 4 1
1.496, 62.05, 45, 5 2 3


No. 2
# Sm2Dy4Er
Calculated powder X-ray diffraction pattern, Cu Ka. Input: a cell relaxed with PBE.
Lines closer than 0.1° are merged.

Atomic structure:
a = 3.7502 Å, b = 13.6070 Å, c = 18.3857 Å
α = 90.00°, β = 90.00°, γ = 90.00°
Space group Cmce (No. 64)
Unique sites:
Sm 0.0000 0.1308 0.1527
Dy 0.0000 0.0833 0.6779
Dy 0.0000 0.1885 0.9465
Er 0.0000 0.0000 0.5000

Top 10 peaks for 5° ≤ 2θ ≤ 70°, low angle first:
d/Å, two_theta, I_rel, index
3.190, 27.97, 27, 0 4 2
3.064, 29.14, 30, 0 0 6
2.855, 31.33, 98, 1 3 1
2.842, 31.48, 100, 1 1 4
2.757, 32.47, 69, 1 3 2
2.578, 34.80, 31, 1 1 5
2.497, 35.97, 30, 0 4 5
2.448, 36.71, 27, 0 2 7
1.875, 48.55, 27, 2 0 0
1.661, 55.30, 34, 1 7 3


No. 3
# Re2P2O
Calculated powder X-ray diffraction pattern, Cu Ka. Input: a cell relaxed with PBE.
Lines closer than 0.1° are merged.

Atomic structure:
a = 3.4803 Å, b = 3.4803 Å, c = 11.6696 Å
α = 90.00°, β = 90.00°, γ = 90.00°
Space group I4/mmm (No. 139)
Unique sites:
Re 0.0000 0.0000 0.1175
P 0.0000 0.5000 0.2500
O 0.0000 0.0000 0.5000

Top 10 peaks for 5° ≤ 2θ ≤ 70°, low angle first:
d/Å, two_theta, I_rel, index
3.335, 26.73, 100, 1 0 1
2.917, 30.64, 22, 0 0 4
2.594, 34.58, 45, 1 0 3
2.461, 36.51, 36, 1 1 0
1.938, 46.87, 37, 1 0 5
1.881, 48.39, 51, 1 1 4
1.740, 52.59, 24, 2 0 0
1.543, 59.96, 22, 2 1 1
1.494, 62.11, 13, 2 0 4
1.445, 64.48, 15, 2 1 3